1.
Rb2Pb2O3: computed powder diffraction line list (Cu Kα, 1.54184 Å), based on a crystal structure in the Materials Project, relaxed with GGA-PBE.

Principal peaks in the range 10 to 90 degrees two-theta, in order of falling intensity:
- 28.2°, 3.169 Å, I = 100
- 49.8°, 1.830 Å, I = 41
- 40.2°, 2.241 Å, I = 23
- 19.8°, 4.482 Å, I = 23
- 80.1°, 1.198 Å, I = 19
- 65.9°, 1.417 Å, I = 17

Cell and atoms:
a b c (Å): 7.7631 7.7631 7.7631
angles (deg): 109.47 109.47 109.47
Positions (direct):
Rb (0.0000, 0.0307, 0.5000)
Rb (0.0307, 0.5000, 0.0000)
Rb (0.4693, 0.4693, 0.4693)
Rb (0.5000, 0.0000, 0.0307)
Pb (0.0000, 0.4902, 0.5000)
Pb (0.0098, 0.0098, 0.0098)
Pb (0.4902, 0.5000, 0.0000)
Pb (0.5000, 0.0000, 0.4902)
O (0.2246, 0.9746, 0.2500)
O (0.2500, 0.2246, 0.9746)
O (0.2754, 0.5254, 0.7500)
O (0.5254, 0.7500, 0.2754)
O (0.7500, 0.2754, 0.5254)
O (0.9746, 0.2500, 0.2246)

***

2.
Rb3PbO3: computed powder diffraction line list (Cu Kα, 1.54184 Å), based on a crystal structure in the Materials Project, relaxed with GGA-PBE.

Principal peaks in the range 10 to 90 degrees two-theta, in order of falling intensity:
- 27.8°, 3.212 Å, I = 100
- 27.6°, 3.228 Å, I = 57
- 28.6°, 3.118 Å, I = 51
- 32.7°, 2.737 Å, I = 51
- 27.4°, 3.258 Å, I = 46
- 14.1°, 6.269 Å, I = 34

Cell and atoms:
a b c (Å): 8.0830 7.4046 11.8074
angles (deg): 90.00 93.86 90.00
Positions (direct):
Rb (0.0629, 0.1260, 0.1539)
Rb (0.0629, 0.3740, 0.6539)
Rb (0.3596, 0.1778, 0.9235)
Rb (0.3596, 0.3222, 0.4235)
Rb (0.3713, 0.6981, 0.8088)
Rb (0.3713, 0.8019, 0.3088)
Rb (0.6287, 0.1981, 0.6912)
Rb (0.6287, 0.3019, 0.1912)
Rb (0.6404, 0.6778, 0.5765)
Rb (0.6404, 0.8222, 0.0765)
Rb (0.9371, 0.6260, 0.3461)
Rb (0.9371, 0.8740, 0.8461)
Pb (0.1645, 0.5949, 0.0705)
Pb (0.1645, 0.9051, 0.5705)
Pb (0.8355, 0.0949, 0.4295)
Pb (0.8355, 0.4051, 0.9295)
O (0.1103, 0.0426, 0.3996)
O (0.1103, 0.4574, 0.8996)
O (0.2623, 0.6319, 0.5374)
O (0.2623, 0.8681, 0.0374)
O (0.3134, 0.0682, 0.6942)
O (0.3134, 0.4318, 0.1942)
O (0.6866, 0.5682, 0.8058)
O (0.6866, 0.9318, 0.3058)
O (0.7377, 0.1319, 0.9626)
O (0.7377, 0.3681, 0.4626)
O (0.8897, 0.5426, 0.1004)
O (0.8897, 0.9574, 0.6004)